Record 1
# Rb2AgBiCl6
Calculated XRD peak list, Cu Ka. Input: a cell relaxed with GGA-PBE.
Neutral-atom scattering factors, no anomalous dispersion.

Structural model:
Unit cell a=7.6918 b=7.6918 c=7.6918 alpha=60.00 beta=60.00 gamma=60.00
Atoms (fractional coordinates):
Rb1 0.2500 0.2500 0.2500
Rb2 0.7500 0.7500 0.7500
Ag1 0.0000 0.0000 0.0000
Bi1 0.5000 0.5000 0.5000
Cl1 0.2500 0.2500 0.7500
Cl2 0.2500 0.7500 0.2500
Cl3 0.2500 0.7500 0.7500
Cl4 0.7500 0.2500 0.2500
Cl5 0.7500 0.2500 0.7500
Cl6 0.7500 0.7500 0.2500

The 10 most intense peaks (15° ≤ 2θ ≤ 90°), by angle:
2θ = 16.30°, d 5.439, intensity 32
2θ = 23.13°, d 3.846, intensity 100
2θ = 32.94°, d 2.719, intensity 59
2θ = 36.96°, d 2.432, intensity 16
2θ = 40.63°, d 2.220, intensity 48
2θ = 47.27°, d 1.923, intensity 41
2θ = 53.26°, d 1.720, intensity 22
2θ = 64.06°, d 1.454, intensity 25
2θ = 78.68°, d 1.216, intensity 18
2θ = 87.96°, d 1.110, intensity 14

Record 2
# Cs2PuCl6
Calculated XRD peak list, Cu Ka. Input: a cell relaxed with GGA-PBE.
Neutral-atom scattering factors, no anomalous dispersion.

Structural model:
Unit cell a=7.6614 b=7.6614 c=6.2115 alpha=90.00 beta=90.00 gamma=120.00
Atoms (fractional coordinates):
Cs1 0.3333 0.6667 0.2538
Cs2 0.6667 0.3333 0.7462
Pu1 0.0000 0.0000 0.0000
Cl1 0.1627 0.3255 0.7668
Cl2 0.1627 0.8373 0.7668
Cl3 0.3255 0.1627 0.2332
Cl4 0.6745 0.8373 0.7668
Cl5 0.8373 0.1627 0.2332
Cl6 0.8373 0.6745 0.2332

The 10 most intense peaks (15° ≤ 2θ ≤ 90°), by angle:
2θ = 19.58°, d 4.535, intensity 100
2θ = 23.22°, d 3.831, intensity 69
2θ = 27.35°, d 3.261, intensity 25
2θ = 30.55°, d 2.926, intensity 89
2θ = 31.81°, d 2.813, intensity 37
2θ = 38.72°, d 2.325, intensity 35
2θ = 39.76°, d 2.267, intensity 43
2θ = 46.55°, d 1.951, intensity 30
2θ = 47.47°, d 1.915, intensity 28
2θ = 52.07°, d 1.756, intensity 19

Record 3
# K3B6ClO10
Calculated XRD peak list, Cu Ka. Input: a cell relaxed with GGA-PBE.
Neutral-atom scattering factors, no anomalous dispersion.

Structural model:
Unit cell a=6.6064 b=6.6064 c=6.6064 alpha=100.51 beta=100.51 gamma=100.51
Atoms (fractional coordinates):
K1 0.0252 0.4874 0.4874
K2 0.4874 0.0252 0.4874
K3 0.4874 0.4874 0.0252
B1 0.0346 0.0346 0.5872
B2 0.0346 0.5872 0.0346
B3 0.1782 0.9150 0.9150
B4 0.5872 0.0346 0.0346
B5 0.9150 0.1782 0.9150
B6 0.9150 0.9150 0.1782
Cl1 0.5408 0.5408 0.5408
O1 0.9996 0.9996 0.9996
O2 0.0416 0.0416 0.3814
O3 0.0416 0.3814 0.0416
O4 0.1576 0.6911 0.9226
O5 0.1576 0.9226 0.6911
O6 0.3814 0.0416 0.0416
O7 0.6911 0.1576 0.9226
O8 0.6911 0.9226 0.1576
O9 0.9226 0.1576 0.6911
O10 0.9226 0.6911 0.1576

The 10 most intense peaks (15° ≤ 2θ ≤ 90°), by angle:
2θ = 28.19°, d 3.166, intensity 100
2θ = 28.57°, d 3.124, intensity 41
2θ = 29.38°, d 3.040, intensity 18
2θ = 33.35°, d 2.687, intensity 15
2θ = 35.34°, d 2.540, intensity 25
2θ = 42.27°, d 2.138, intensity 23
2θ = 44.77°, d 2.024, intensity 25
2θ = 45.80°, d 1.981, intensity 22
2θ = 56.71°, d 1.623, intensity 9
2θ = 59.14°, d 1.562, intensity 10

Record 4
# BMoWC
Calculated XRD peak list, Cu Ka. Input: a cell relaxed with GGA-PBE.
Neutral-atom scattering factors, no anomalous dispersion.

Structural model:
Unit cell a=8.8936 b=8.8936 c=3.0780 alpha=90.00 beta=90.00 gamma=159.73
Atoms (fractional coordinates):
B1 0.0284 0.9716 0.7500
B2 0.9716 0.0284 0.2500
Mo1 0.1848 0.8152 0.7500
Mo2 0.8152 0.1848 0.2500
W1 0.4279 0.5721 0.7500
W2 0.5721 0.4279 0.2500
C1 0.3086 0.6914 0.7500
C2 0.6914 0.3086 0.2500

The 10 most intense peaks (15° ≤ 2θ ≤ 90°), by angle:
2θ = 28.98°, d 3.081, intensity 36
2θ = 32.46°, d 2.758, intensity 25
2θ = 35.66°, d 2.518, intensity 100
2θ = 38.58°, d 2.333, intensity 47
2θ = 41.25°, d 2.189, intensity 35
2θ = 41.47°, d 2.177, intensity 63
2θ = 44.09°, d 2.054, intensity 35
2θ = 46.48°, d 1.954, intensity 19
2θ = 63.95°, d 1.456, intensity 29
2θ = 70.91°, d 1.329, intensity 28

Record 5
# In3AsSe3
Calculated XRD peak list, Cu Ka. Input: a cell relaxed with GGA-PBE.
Neutral-atom scattering factors, no anomalous dispersion.

Structural model:
Unit cell a=7.4197 b=7.4197 c=7.4222 alpha=98.42 beta=98.42 gamma=33.15
Atoms (fractional coordinates):
In1 0.0000 0.0000 0.0000
In2 0.5051 0.5051 0.4933
In3 0.7682 0.7682 0.2352
As1 0.5770 0.5770 0.1843
Se1 0.0761 0.0761 0.6882
Se2 0.3166 0.3166 0.4572
Se3 0.8185 0.8185 0.9195

The 10 most intense peaks (15° ≤ 2θ ≤ 90°), by angle:
2θ = 25.35°, d 3.514, intensity 32
2θ = 25.59°, d 3.481, intensity 100
2θ = 41.96°, d 2.153, intensity 34
2θ = 42.32°, d 2.136, intensity 33
2θ = 42.50°, d 2.127, intensity 15
2θ = 42.72°, d 2.117, intensity 17
2θ = 50.10°, d 1.821, intensity 10
2θ = 50.32°, d 1.813, intensity 10
2θ = 50.45°, d 1.809, intensity 19
2θ = 61.84°, d 1.500, intensity 10

Record 6
# NaIn2
Calculated XRD peak list, Cu Ka. Input: a cell relaxed with GGA-PBE.
Neutral-atom scattering factors, no anomalous dispersion.

Structural model:
Unit cell a=8.0601 b=8.0601 c=8.0601 alpha=60.00 beta=60.00 gamma=60.00
Atoms (fractional coordinates):
Na1 0.0000 0.0000 0.0000
Na2 0.0000 0.0000 0.5000
Na3 0.0000 0.5000 0.0000
Na4 0.5000 0.0000 0.0000
In1 0.2776 0.2776 0.2776
In2 0.2776 0.2776 0.6671
In3 0.2776 0.6671 0.2776
In4 0.3329 0.7224 0.7224
In5 0.6671 0.2776 0.2776
In6 0.7224 0.3329 0.7224
In7 0.7224 0.7224 0.3329
In8 0.7224 0.7224 0.7224

The 10 most intense peaks (15° ≤ 2θ ≤ 90°), by angle:
2θ = 27.10°, d 3.291, intensity 100
2θ = 31.39°, d 2.850, intensity 74
2θ = 34.29°, d 2.615, intensity 47
2θ = 41.15°, d 2.194, intensity 64
2θ = 44.99°, d 2.015, intensity 34
2θ = 47.88°, d 1.900, intensity 17
2θ = 57.76°, d 1.596, intensity 32
2θ = 62.60°, d 1.484, intensity 23
2θ = 67.23°, d 1.393, intensity 18
2θ = 76.61°, d 1.244, intensity 20

Record 7
# Cs2ScAuCl6
Calculated XRD peak list, Cu Ka. Input: a cell relaxed with GGA-PBE.
Neutral-atom scattering factors, no anomalous dispersion.

Structural model:
Unit cell a=7.5003 b=7.5003 c=7.5003 alpha=60.00 beta=60.00 gamma=60.00
Atoms (fractional coordinates):
Cs1 0.2500 0.2500 0.2500
Cs2 0.7500 0.7500 0.7500
Sc1 0.0000 0.0000 0.0000
Au1 0.5000 0.5000 0.5000
Cl1 0.2372 0.2372 0.7628
Cl2 0.2372 0.7628 0.2372
Cl3 0.2372 0.7628 0.7628
Cl4 0.7628 0.2372 0.2372
Cl5 0.7628 0.2372 0.7628
Cl6 0.7628 0.7628 0.2372

The 10 most intense peaks (15° ≤ 2θ ≤ 90°), by angle:
2θ = 23.73°, d 3.750, intensity 100
2θ = 27.90°, d 3.198, intensity 18
2θ = 29.16°, d 3.062, intensity 12
2θ = 33.80°, d 2.652, intensity 56
2θ = 41.72°, d 2.165, intensity 46
2θ = 48.55°, d 1.875, intensity 38
2θ = 54.73°, d 1.677, intensity 22
2θ = 60.47°, d 1.531, intensity 13
2θ = 65.90°, d 1.417, intensity 25
2θ = 81.09°, d 1.186, intensity 16

Record 8
# Li3SnP6O18
Calculated XRD peak list, Cu Ka. Input: a cell relaxed with GGA-PBE.
Neutral-atom scattering factors, no anomalous dispersion.

Structural model:
Unit cell a=7.2177 b=7.5041 c=7.5679 alpha=114.00 beta=107.11 gamma=96.96
Atoms (fractional coordinates):
Li1 0.0000 0.0000 0.0000
Li2 0.2991 0.0579 0.4079
Li3 0.6119 0.8527 0.4941
Sn1 0.0438 0.5722 0.6088
P1 0.3647 0.3796 0.2235
P2 0.3702 0.0410 0.8586
P3 0.6267 0.5912 0.7954
P4 0.6489 0.1490 0.2787
P5 0.8900 0.3473 0.8607
P6 0.9017 0.7110 0.2084
O1 0.0516 0.8643 0.2067
O2 0.0548 0.4586 0.8232
O3 0.1969 0.8888 0.8473
O4 0.2088 0.2467 0.2443
O5 0.3460 0.2639 0.9769
O6 0.3904 0.5997 0.2953
O7 0.3945 0.0054 0.6600
O8 0.4063 0.5589 0.6916
O9 0.5399 0.0113 0.3353
O10 0.5799 0.0504 0.0252
O11 0.5842 0.3563 0.3352
O12 0.6749 0.3727 0.7438
O13 0.6822 0.6850 0.0457
O14 0.7798 0.7086 0.7515
O15 0.8695 0.1316 0.8107
O16 0.8770 0.2225 0.3805
O17 0.8836 0.7402 0.4125
O18 0.9254 0.4822 0.1038

The 10 most intense peaks (15° ≤ 2θ ≤ 90°), by angle:
2θ = 16.14°, d 5.492, intensity 86
2θ = 18.37°, d 4.831, intensity 39
2θ = 20.51°, d 4.331, intensity 48
2θ = 21.47°, d 4.138, intensity 47
2θ = 24.58°, d 3.622, intensity 100
2θ = 28.16°, d 3.169, intensity 68
2θ = 29.05°, d 3.074, intensity 64
2θ = 31.86°, d 2.809, intensity 38
2θ = 32.85°, d 2.726, intensity 41
2θ = 36.52°, d 2.461, intensity 43

Question: Number 4 is which compound?
Answer: BMoWC